NaNi2F: theoretical X-ray diffraction stick pattern (Cu Ka), based on a structure optimized by DFT (GGA+U).

Top 10 peaks for 5° ≤ 2θ ≤ 70°, low angle first:
- (1 0 1), 19.61 deg, rel. 100
- (0 0 4), 25.68 deg, rel. 24
- (1 0 3), 26.80 deg, rel. 55
- (1 1 2), 29.35 deg, rel. 19
- (1 0 5), 37.46 deg, rel. 23
- (2 0 2), 39.83 deg, rel. 68
- (2 1 1), 42.73 deg, rel. 31
- (2 1 3), 46.75 deg, rel. 18
- (2 0 6), 55.22 deg, rel. 25
- (2 2 4), 60.89 deg, rel. 31

Crystal structure
abc: 4.7882 4.7882 13.8764
angles: 90.00 90.00 90.00
Fractional positions:
Na 0.0000 0.2500 0.3750
Na 0.0000 0.7500 0.6250
Na 0.5000 0.2500 0.1250
Na 0.5000 0.7500 0.8750
Ni 0.0000 0.0000 0.0000
Ni 0.0000 0.5000 0.0000
Ni 0.2500 0.2500 0.7500
Ni 0.2500 0.7500 0.2500
Ni 0.5000 0.0000 0.5000
Ni 0.5000 0.5000 0.5000
Ni 0.7500 0.2500 0.7500
Ni 0.7500 0.7500 0.2500
F 0.0000 0.2500 0.8750
F 0.0000 0.7500 0.1250
F 0.5000 0.2500 0.6250
F 0.5000 0.7500 0.3750